The following is a computed X-ray diffraction stick pattern of Ba3Zr2S7. It was derived from the GGA-PBE geometry in the Materials Project, using λ = 1.5418 Å (Cu Kα).
No peak broadening, texture or thermal motion is included.

Largest 10 diffraction maxima, by angle, 5° ≤ 2θ ≤ 70°:
- (1 0 5), 24.67°, I 100
- (1 1 0), 24.98°, I 78
- (1 1 6), 32.61°, I 39
- (0 0 10), 34.70°, I 23
- (2 0 0), 35.62°, I 67
- (1 1 10), 43.23°, I 17
- (2 1 5), 43.81°, I 44
- (2 0 10), 50.58°, I 29
- (2 2 0), 51.26°, I 23
- (3 1 0), 57.84°, I 15

Atomic structure:
```
data_Ba3Zr2S7
_cell_length_a 5.041
_cell_length_b 5.041
_cell_length_c 25.849
_cell_angle_alpha 90.00
_cell_angle_beta 90.00
_cell_angle_gamma 90.00
_space_group_name_H-M_alt 'I 4/m m m'
_space_group_IT_number 139
_space_group_name_Hall '-I 4 2'
loop_
_atom_site_label
_atom_site_fract_x
_atom_site_fract_y
_atom_site_fract_z
Ba1 0.000 0.000 0.000
Ba2 0.000 0.000 0.181
Zr1 0.000 0.000 0.400
S1 0.000 0.000 0.302
S2 0.000 0.000 0.500
S3 0.000 0.500 0.096
```



The following is a computed X-ray diffraction stick pattern of Ba4Zr3S10. It was derived from the GGA-PBE geometry in the Materials Project, using λ = 1.5418 Å (Cu Kα).
No peak broadening, texture or thermal motion is included.

Largest 10 diffraction maxima, by angle, 5° ≤ 2θ ≤ 70°:
- (1 0 7), 24.74°, I 100
- (1 1 0), 24.94°, I 71
- (1 1 8), 32.03°, I 36
- (0 0 14), 34.97°, I 23
- (2 0 0), 35.56°, I 66
- (1 1 14), 43.43°, I 17
- (2 1 7), 43.80°, I 44
- (2 0 14), 50.73°, I 31
- (2 2 0), 51.17°, I 22
- (2 2 14), 63.49°, I 17

Atomic structure:
```
data_Ba4Zr3S10
_cell_length_a 5.049
_cell_length_b 5.049
_cell_length_c 35.926
_cell_angle_alpha 90.00
_cell_angle_beta 90.00
_cell_angle_gamma 90.00
_space_group_name_H-M_alt 'I 4/m m m'
_space_group_IT_number 139
_space_group_name_Hall '-I 4 2'
loop_
_atom_site_label
_atom_site_fract_x
_atom_site_fract_y
_atom_site_fract_z
Ba1 0.000 0.000 0.067
Ba2 0.000 0.000 0.200
Zr1 0.000 0.000 0.357
Zr2 0.000 0.000 0.500
S1 0.000 0.000 0.287
S2 0.000 0.000 0.430
S3 0.000 0.500 0.000
S4 0.000 0.500 0.139
```



Question: Which formula does entry 2 have?
Answer: Ba4Zr3S10



Please write out number 1 again, unchanged.
The following is a computed X-ray diffraction stick pattern of Ba3Zr2S7. It was derived from the GGA-PBE geometry in the Materials Project, using λ = 1.5418 Å (Cu Kα).
No peak broadening, texture or thermal motion is included.

Largest 10 diffraction maxima, by angle, 5° ≤ 2θ ≤ 70°:
- (1 0 5), 24.67°, I 100
- (1 1 0), 24.98°, I 78
- (1 1 6), 32.61°, I 39
- (0 0 10), 34.70°, I 23
- (2 0 0), 35.62°, I 67
- (1 1 10), 43.23°, I 17
- (2 1 5), 43.81°, I 44
- (2 0 10), 50.58°, I 29
- (2 2 0), 51.26°, I 23
- (3 1 0), 57.84°, I 15

Atomic structure:
```
data_Ba3Zr2S7
_cell_length_a 5.041
_cell_length_b 5.041
_cell_length_c 25.849
_cell_angle_alpha 90.00
_cell_angle_beta 90.00
_cell_angle_gamma 90.00
_space_group_name_H-M_alt 'I 4/m m m'
_space_group_IT_number 139
_space_group_name_Hall '-I 4 2'
loop_
_atom_site_label
_atom_site_fract_x
_atom_site_fract_y
_atom_site_fract_z
Ba1 0.000 0.000 0.000
Ba2 0.000 0.000 0.181
Zr1 0.000 0.000 0.400
S1 0.000 0.000 0.302
S2 0.000 0.000 0.500
S3 0.000 0.500 0.096
```